No. 1
Structure and theoretical powder X-ray diffraction pattern of BaTmCo4O7 (a PBE+U-relaxed structure; a wavelength of 1.5418 Å).
Peak positions follow from Bragg's law for the DFT cell and can differ from measured ones.

The 10 most intense peaks (2θ from 10° to 90°), sorted by position:
| two_theta | Rel. int. |
| --- | --- |
| 18.49 | 13.8 |
| 28.44 | 59.4 |
| 31.00 | 97.7 |
| 33.52 | 100.0 |
| 34.14 | 71.5 |
| 51.98 | 29.7 |
| 52.03 | 14.4 |
| 53.71 | 17.8 |
| 56.36 | 38.5 |
| 58.82 | 23.7 |

Structure:
```
52
Lattice="10.882 0.000 0.000 0.000 6.270 0.000 0.000 0.000 10.209" Properties=species:S:1:pos:R:3 pbc="T T T"
Ba 1.742 0.008 0.000
Ba 3.699 3.143 5.105
Ba 7.183 3.127 0.000
Ba 9.140 6.262 5.105
Tm 1.842 6.220 3.802
Tm 3.599 3.085 8.907
Tm 7.283 3.185 3.802
Tm 9.040 0.050 8.907
Co 0.070 3.088 4.469
Co 0.856 1.529 6.925
Co 0.931 4.764 6.982
Co 1.893 3.118 1.887
Co 3.548 6.253 6.992
Co 4.510 1.629 1.877
Co 4.585 4.663 1.821
Co 5.371 6.223 9.574
Co 5.511 0.047 4.469
Co 6.297 1.606 6.925
Co 6.372 4.641 6.982
Co 7.334 0.017 1.887
Co 8.989 3.152 6.992
Co 9.951 1.506 1.877
Co 10.026 4.741 1.821
Co 10.812 3.182 9.574
O 0.054 3.110 2.481
O 0.126 0.004 2.459
O 0.693 1.347 5.022
O 1.183 4.547 5.068
O 1.768 2.927 0.036
O 2.665 4.908 7.947
O 2.690 4.793 2.282
O 2.751 1.658 7.387
O 2.776 1.773 2.842
O 3.673 6.062 5.141
O 4.258 1.412 10.172
O 4.748 4.482 10.126
O 5.315 3.139 7.564
O 5.387 6.245 7.585
O 5.495 0.025 2.481
O 5.567 3.131 2.459
O 6.134 1.788 5.022
O 6.624 4.858 5.068
O 7.209 0.208 0.036
O 8.106 4.497 7.947
O 8.131 4.611 2.282
O 8.192 1.477 7.387
O 8.217 1.362 2.842
O 9.114 3.343 5.141
O 9.699 1.723 10.172
O 10.189 4.923 10.126
O 10.756 6.266 7.564
O 10.828 3.160 7.585
```



No. 2
Structure and theoretical powder X-ray diffraction pattern of BaTmCo4O7 (a PBE+U-relaxed structure; a wavelength of 1.5418 Å).
Peak positions follow from Bragg's law for the DFT cell and can differ from measured ones.

The 10 most intense peaks (2θ from 10° to 90°), sorted by position:
| two_theta | Rel. int. |
| --- | --- |
| 28.46 | 55.7 |
| 30.99 | 88.3 |
| 31.05 | 45.0 |
| 33.42 | 28.6 |
| 33.54 | 100.0 |
| 34.01 | 63.4 |
| 34.24 | 31.9 |
| 52.07 | 29.9 |
| 56.43 | 36.9 |
| 58.90 | 32.0 |

Structure:
```
26
Lattice="3.159 -5.419 0.000 3.159 5.419 0.000 -0.033 0.000 10.199" Properties=species:S:1:pos:R:3 pbc="T T T"
Ba 3.142 3.632 5.100
Ba 3.159 -3.632 0.000
Tm 3.118 3.633 8.965
Tm 3.135 -3.633 3.865
Co 1.562 0.987 7.005
Co 3.044 1.866 1.925
Co 1.579 -0.987 1.905
Co 3.129 0.043 4.536
Co 3.113 -0.043 9.635
Co 3.027 -1.866 7.024
Co 4.804 0.814 7.008
Co 4.820 -0.814 1.908
O 0.101 0.019 2.599
O 0.084 -0.019 7.699
O 1.733 1.284 5.100
O 2.774 1.800 0.065
O 1.749 -1.284 0.000
O 4.593 2.590 2.640
O 4.636 2.668 7.618
O 3.155 0.042 2.537
O 3.139 -0.042 7.637
O 2.757 -1.800 5.165
O 4.922 0.565 5.088
O 4.905 -0.565 10.188
O 4.576 -2.590 7.740
O 4.653 -2.668 2.519
```



No. 3
Structure and theoretical powder X-ray diffraction pattern of Ba2YCoO5 (a PBE+U-relaxed structure; a wavelength of 1.5418 Å).
Peak positions follow from Bragg's law for the DFT cell and can differ from measured ones.

The 10 most intense peaks (2θ from 10° to 90°), sorted by position:
| two_theta | Rel. int. |
| --- | --- |
| 28.88 | 52.2 |
| 29.28 | 63.8 |
| 30.31 | 100.0 |
| 30.99 | 95.7 |
| 41.59 | 57.4 |
| 46.12 | 23.0 |
| 51.62 | 23.6 |
| 52.57 | 21.8 |
| 52.98 | 37.1 |
| 55.57 | 17.9 |

Structure:
```
36
Lattice="7.877 0.000 0.000 0.000 6.101 0.000 -7.494 0.000 12.368" Properties=species:S:1:pos:R:3 pbc="T T T"
Ba -0.011 1.489 1.420
Ba -3.758 1.561 7.604
Ba 0.230 4.508 4.427
Ba -3.516 4.642 10.611
Ba 3.900 1.458 1.757
Ba 0.153 1.592 7.941
Ba 4.141 4.539 4.764
Ba 0.394 4.611 10.948
Y -1.701 1.508 4.596
Y -5.448 1.542 10.780
Y 5.832 4.558 1.588
Y 2.085 4.593 7.772
Co 2.040 4.521 1.156
Co -1.707 4.630 7.340
Co 2.090 1.470 5.027
Co -1.656 1.580 11.211
O -5.581 3.330 9.550
O -1.835 5.821 3.367
O -3.480 4.529 7.830
O 0.267 4.622 1.646
O -1.598 3.237 6.046
O -5.345 5.913 12.230
O -1.633 0.193 6.446
O 2.114 2.857 0.262
O -3.170 1.436 10.205
O 0.577 1.614 4.021
O -0.194 4.487 8.346
O 3.553 4.664 2.163
O -1.731 3.244 12.105
O 2.016 5.907 5.922
O 5.728 0.187 0.138
O 1.982 2.863 6.322
O 0.117 1.478 10.722
O 3.864 1.572 4.538
O 2.218 0.280 9.001
O 5.965 2.771 2.817
```